No. 1
Structure and calculated powder diffractogram of Cr6BC3 (the PBE geometry in Alexandria; CuKα).

Most intense lines, 2θ = 10–90°, in order of falling intensity:
2theta  I (rel.)
43.78  100
42.20  65
45.32  52
35.43  50
39.06  43
43.30  42
51.02  37
82.18  26
65.54  18
83.64  17
51.88  17
73.61  16

Structure:
Cell lengths 6.9389, 4.8275, 4.8275 Å; angles 34.32, 90.00, 90.00 degrees
Positions (direct):
Cr 0.0000 0.0000 0.0000
Cr 0.1823 0.2779 0.2779
Cr 0.3147 0.5598 0.5598
Cr 0.5000 0.8120 0.8120
Cr 0.6853 0.5598 0.5598
Cr 0.8177 0.2779 0.2779
B 0.0000 0.6589 0.6589
C 0.2570 0.9172 0.9172
C 0.5000 0.1681 0.1681
C 0.7430 0.9172 0.9172


No. 2
Structure and calculated powder diffractogram of LiYSb2 (the PBE geometry in Alexandria; CuKα).

Most intense lines, 2θ = 10–90°, in order of falling intensity:
2theta  I (rel.)
34.02  100
30.72  46
42.29  40
26.63  38
24.82  31
72.04  22
39.58  19
49.65  19
47.29  16
61.34  13
50.68  13
65.29  12

Structure:
Cell lengths 4.2746, 4.2746, 10.7599 Å; angles 90.00, 90.00, 90.00 degrees
Positions (direct):
Li 0.2500 0.7500 0.0000
Li 0.7500 0.2500 0.0000
Y 0.2500 0.2500 0.2683
Y 0.7500 0.7500 0.7317
Sb 0.2500 0.2500 0.8310
Sb 0.2500 0.7500 0.5000
Sb 0.7500 0.2500 0.5000
Sb 0.7500 0.7500 0.1690


No. 3
Structure and calculated powder diffractogram of TmFe7B3 (the PBE geometry in Alexandria; CuKα).

Most intense lines, 2θ = 10–90°, in order of falling intensity:
2theta  I (rel.)
46.12  100
36.81  64
42.29  60
41.78  39
26.81  38
48.58  32
29.10  28
18.17  27
75.67  26
42.68  22
52.52  18
47.35  16

Structure:
Cell lengths 7.2399, 7.2399, 7.2399 Å; angles 54.69, 54.69, 54.69 degrees
Positions (direct):
Tm 0.0000 0.0000 0.0000
Tm 0.5000 0.5000 0.5000
Fe 0.0827 0.8508 0.6510
Fe 0.1492 0.3490 0.9173
Fe 0.1510 0.3508 0.5827
Fe 0.2500 0.2500 0.2500
Fe 0.3490 0.9173 0.1492
Fe 0.3508 0.5827 0.1510
Fe 0.4173 0.8490 0.6492
Fe 0.5827 0.1510 0.3508
Fe 0.6492 0.4173 0.8490
Fe 0.6510 0.0827 0.8508
Fe 0.7500 0.7500 0.7500
Fe 0.8490 0.6492 0.4173
Fe 0.8508 0.6510 0.0827
Fe 0.9173 0.1492 0.3490
B 0.0774 0.7500 0.4226
B 0.2500 0.5774 0.9226
B 0.4226 0.0774 0.7500
B 0.5774 0.9226 0.2500
B 0.7500 0.4226 0.0774
B 0.9226 0.2500 0.5774


No. 4
Structure and calculated powder diffractogram of La3Al8Zn3 (the PBE geometry in Alexandria; CuKα).

Most intense lines, 2θ = 10–90°, in order of falling intensity:
2theta  I (rel.)
33.98  100
21.87  24
40.79  23
33.53  22
29.03  20
33.09  19
22.51  18
34.95  16
62.06  16
17.27  15
42.25  15
36.01  13

Structure:
Cell lengths 8.5114, 8.5114, 8.5114 Å; angles 149.87, 105.79, 82.13 degrees
Positions (direct):
La 0.0000 0.0000 0.0000
La 0.3169 0.3169 0.0000
La 0.6831 0.6831 0.0000
Al 0.0332 0.6649 0.3683
Al 0.1467 0.8696 0.2772
Al 0.2966 0.6649 0.6317
Al 0.4076 0.1304 0.2772
Al 0.5924 0.8696 0.7228
Al 0.7034 0.3351 0.3683
Al 0.8533 0.1304 0.7228
Al 0.9668 0.3351 0.6317
Zn 0.2785 0.5000 0.7785
Zn 0.5000 0.0000 0.5000
Zn 0.7215 0.5000 0.2215


No. 5
Structure and calculated powder diffractogram of Ca11Hg9Au4 (the PBE geometry in Alexandria; CuKα).

Most intense lines, 2θ = 10–90°, in order of falling intensity:
2theta  I (rel.)
33.97  100
33.69  47
23.58  41
41.81  32
23.71  23
24.03  22
60.34  21
48.24  13
54.62  11
60.52  9
60.96  9
55.29  8

Structure:
Cell lengths 13.4738, 13.4738, 3.7728 Å; angles 90.00, 90.00, 113.31 degrees
Positions (direct):
Ca 0.0000 0.0000 0.0000
Ca 0.0728 0.4136 0.0000
Ca 0.1656 0.8344 0.0000
Ca 0.2828 0.2828 0.0000
Ca 0.3588 0.6412 0.0000
Ca 0.4136 0.0728 0.0000
Ca 0.5864 0.9272 0.0000
Ca 0.6412 0.3588 0.0000
Ca 0.7172 0.7172 0.0000
Ca 0.8344 0.1656 0.0000
Ca 0.9272 0.5864 0.0000
Hg 0.0553 0.2100 0.5000
Hg 0.1447 0.6292 0.5000
Hg 0.2100 0.0553 0.5000
Hg 0.3708 0.8553 0.5000
Hg 0.5000 0.5000 0.5000
Hg 0.6292 0.1447 0.5000
Hg 0.7900 0.9447 0.5000
Hg 0.8553 0.3708 0.5000
Hg 0.9447 0.7900 0.5000
Au 0.2574 0.4504 0.5000
Au 0.4504 0.2574 0.5000
Au 0.5496 0.7426 0.5000
Au 0.7426 0.5496 0.5000


No. 6
Structure and calculated powder diffractogram of BaPm3Pt2 (the PBE geometry in Alexandria; CuKα).

Most intense lines, 2θ = 10–90°, in order of falling intensity:
2theta  I (rel.)
29.66  100
34.79  81
31.91  78
30.45  60
46.90  37
37.92  32
26.54  28
24.12  25
39.98  24
53.59  21
35.70  21
19.81  21

Structure:
Cell lengths 9.2694, 9.2694, 9.0793 Å; angles 116.03, 116.03, 32.30 degrees
Positions (direct):
Ba 0.1522 0.1522 0.0530
Ba 0.8478 0.8478 0.9470
Pm 0.0503 0.0503 0.3638
Pm 0.3072 0.3072 0.6039
Pm 0.4003 0.4003 0.3148
Pm 0.5997 0.5997 0.6852
Pm 0.6928 0.6928 0.3961
Pm 0.9497 0.9497 0.6362
Pt 0.1783 0.1783 0.7090
Pt 0.4834 0.4834 0.8374
Pt 0.5166 0.5166 0.1626
Pt 0.8217 0.8217 0.2910


No. 7
Structure and calculated powder diffractogram of Sm3Th13 (the PBE geometry in Alexandria; CuKα).

Most intense lines, 2θ = 10–90°, in order of falling intensity:
2theta  I (rel.)
32.68  100
30.06  28
55.06  23
60.56  23
28.91  23
51.24  19
42.19  17
62.11  16
84.62  14
84.94  9
78.53  8
88.00  7

Structure:
Cell lengths 7.1324, 8.5724, 8.5724 Å; angles 87.84, 90.00, 90.00 degrees
Positions (direct):
Sm 0.0000 0.0000 0.0000
Sm 0.2501 0.7454 0.7454
Sm 0.7499 0.7454 0.7454
Th 0.0000 0.4104 0.9109
Th 0.0000 0.4921 0.4921
Th 0.0000 0.9109 0.4104
Th 0.2512 0.1610 0.6596
Th 0.2512 0.6596 0.1610
Th 0.2525 0.2485 0.2485
Th 0.5000 0.0026 0.0026
Th 0.5000 0.4095 0.9091
Th 0.5000 0.4911 0.4911
Th 0.5000 0.9091 0.4095
Th 0.7475 0.2485 0.2485
Th 0.7488 0.1610 0.6596
Th 0.7488 0.6596 0.1610


No. 8
Structure and calculated powder diffractogram of NdY6Er8 (the PBE geometry in Alexandria; CuKα).

Most intense lines, 2θ = 10–90°, in order of falling intensity:
2theta  I (rel.)
31.54  100
31.64  71
32.65  51
30.59  36
36.94  25
60.58  23
35.08  21
53.44  21
12.95  16
39.99  14
55.56  12
47.46  12

Structure:
Cell lengths 8.5921, 8.5921, 8.5921 Å; angles 63.32, 63.32, 63.32 degrees
Positions (direct):
Nd 0.0000 0.0000 0.0000
Y 0.1088 0.5383 0.2295
Y 0.2295 0.1088 0.5383
Y 0.4617 0.7706 0.8912
Y 0.5383 0.2295 0.1088
Y 0.7705 0.8912 0.4617
Y 0.8912 0.4617 0.7705
Er 0.1105 0.7196 0.7441
Er 0.2559 0.8895 0.2804
Er 0.2804 0.2559 0.8895
Er 0.4240 0.4240 0.4240
Er 0.5760 0.5760 0.5760
Er 0.7196 0.7441 0.1105
Er 0.7441 0.1105 0.7196
Er 0.8895 0.2804 0.2559